Diffraction record for GdMn3. The powder X-ray diffraction pattern is theoretical, not measured: it uses a structure optimized by DFT (PBE) and Cu Kα (λ = 1.5418 Å).
Lines closer than 0.1° are merged.

Largest 10 diffraction maxima, by angle, 2θ = 15–90°:
2θ/deg, d (Å), intensity, hkl
26.78, 3.329, 48, 1 0 1
30.14, 2.965, 22, 1 1 0
34.94, 2.568, 25, 2 0 0
40.75, 2.214, 100, 2 0 1
41.31, 2.185, 24, 0 0 2
46.80, 1.941, 13, 2 1 0
62.66, 1.483, 14, 2 2 0
69.39, 1.354, 13, 3 1 1
74.94, 1.267, 15, 2 0 3
77.85, 1.227, 14, 2 2 2

Crystal structure
```
8
Lattice="5.9307 0.0000 0.0000 -2.9653 5.1361 0.0000 0.0000 0.0000 4.3707" Properties=species:S:1:pos:R:3 pbc="T T T"
Gd 0.0000 3.4241 1.0927
Gd 2.9653 1.7120 3.2780
Mn 0.0000 1.4171 3.2780
Mn -1.7381 4.4276 3.2780
Mn 1.2273 0.7086 1.0927
Mn 1.7381 4.4276 3.2780
Mn 4.7034 0.7086 1.0927
Mn 2.9653 3.7190 1.0927
```